# 1
This entry pairs a crystal structure of NaTiO2 with its simulated powder XRD pattern. Radiation: Cu Kα. Structure: a DFT-relaxed cell (GGA-PBE, the Materials Project).
Kinematic intensities with the Lorentz-polarization factor, no thermal factor.

Largest 10 diffraction maxima, in order of falling intensity, 15 to 90 degrees two-theta:
- 40.70 deg, I 100
- 16.14 deg, I 42
- 56.77 deg, I 29
- 61.01 deg, I 26
- 35.84 deg, I 22
- 75.95 deg, I 12
- 32.61 deg, I 11
- 70.91 deg, I 8
- 52.15 deg, I 7
- 88.13 deg, I 7

Structure:
```
data_NaTiO2
_chemical_formula_sum 'Na3 Ti3 O6'
_space_group_name_H-M_alt 'R -3 m'
_space_group_IT_number 166
_space_group_name_Hall '-R 3 2"'
_cell_length_a 3.0374
_cell_length_b 3.0374
_cell_length_c 16.4757
_cell_angle_alpha 90.00
_cell_angle_beta 90.00
_cell_angle_gamma 120.00
loop_
_atom_site_label
_atom_site_fract_x
_atom_site_fract_y
_atom_site_fract_z
_atom_site_occupancy
Na1 0.0000 0.0000 0.0000 1
Ti1 0.0000 0.0000 0.5000 1
O1 0.0000 0.0000 0.2352 1
```



# 2
This entry pairs a crystal structure of NaTiO2 with its simulated powder XRD pattern. Radiation: Cu Kα. Structure: a DFT-relaxed cell (GGA-PBE, the Materials Project).
Kinematic intensities with the Lorentz-polarization factor, no thermal factor.

Largest 10 diffraction maxima, in order of falling intensity, 15 to 90 degrees two-theta:
- 40.94 deg, I 100
- 59.29 deg, I 54
- 17.42 deg, I 34
- 35.26 deg, I 32
- 74.57 deg, I 16
- 70.90 deg, I 15
- 88.77 deg, I 7
- 33.71 deg, I 7
- 54.04 deg, I 6
- 62.30 deg, I 4

Structure:
abc: 8.817 8.817 8.817
angles: 90.00 90.00 90.00
Space group Fd-3m (No. 227, origin choice 2)
Unique sites:
Na 0.000 0.000 0.000
Ti 0.000 0.000 0.500
O 0.014 0.014 0.736